Entry 1:
This entry pairs a crystal structure of Na2SrTaSe4 with its simulated X-ray diffraction stick pattern. Radiation: Cu Kα, 1.54184 Å. Structure: a DFT-relaxed cell (GGA-PBE, Alexandria).
Peak positions follow from Bragg's law for the DFT cell and can differ from measured ones.

Principal peaks in the range 10 to 90 degrees two-theta, in order of rising 2θ:
2θ 15.23, intensity 70
2θ 25.12, intensity 100
2θ 29.17, intensity 17
2θ 35.26, intensity 38
2θ 43.78, intensity 38
2θ 44.49, intensity 36
2θ 46.39, intensity 16
2θ 69.73, intensity 15

a b c (Å): 7.1996 7.1996 9.8788
angles (deg): 90.00 90.00 90.00
Sites, in units of the cell vectors:
Na (0.0000, 0.0000, 0.0000)
Na (0.0000, 0.5000, 0.2500)
Na (0.5000, 0.0000, 0.7500)
Na (0.5000, 0.5000, 0.5000)
Sr (0.0000, 0.0000, 0.5000)
Sr (0.5000, 0.5000, 0.0000)
Ta (0.0000, 0.5000, 0.7500)
Ta (0.5000, 0.0000, 0.2500)
Se (0.2126, 0.7313, 0.8531)
Se (0.2313, 0.2874, 0.6469)
Se (0.2687, 0.2126, 0.1469)
Se (0.2874, 0.7687, 0.3531)
Se (0.7126, 0.2313, 0.3531)
Se (0.7313, 0.7874, 0.1469)
Se (0.7687, 0.7126, 0.6469)
Se (0.7874, 0.2687, 0.8531)



Entry 2:
This entry pairs a crystal structure of YB3H12 with its simulated X-ray diffraction stick pattern. Radiation: Cu Kα, 1.54184 Å. Structure: a DFT-relaxed cell (GGA-PBE, Alexandria).
Peak positions follow from Bragg's law for the DFT cell and can differ from measured ones.

Principal peaks in the range 10 to 90 degrees two-theta, in order of rising 2θ:
2θ 16.19, intensity 100
2θ 22.97, intensity 45
2θ 28.26, intensity 8
2θ 32.71, intensity 21
2θ 36.70, intensity 41
2θ 40.38, intensity 18
2θ 50.00, intensity 18
2θ 52.88, intensity 11

a b c (Å): 7.7541 7.7541 7.7541
angles (deg): 59.82 59.82 59.82
Sites, in units of the cell vectors:
Y (0.0000, 0.0000, 0.0000)
Y (0.5000, 0.5000, 0.5000)
B (0.2470, 0.7500, 0.2530)
B (0.2500, 0.7470, 0.7530)
B (0.2530, 0.2470, 0.7500)
B (0.7470, 0.7530, 0.2500)
B (0.7500, 0.2530, 0.2470)
B (0.7530, 0.2500, 0.7470)
H (0.0907, 0.9054, 0.2853)
H (0.0946, 0.7147, 0.9093)
H (0.0982, 0.2804, 0.7160)
H (0.2147, 0.5946, 0.4093)
H (0.2160, 0.7804, 0.5982)
H (0.2196, 0.4018, 0.7840)
H (0.2804, 0.7160, 0.0982)
H (0.2840, 0.9018, 0.7196)
H (0.2853, 0.0907, 0.9054)
H (0.4018, 0.7840, 0.2196)
H (0.4054, 0.5907, 0.7853)
H (0.4093, 0.2147, 0.5946)
H (0.5907, 0.7853, 0.4054)
H (0.5946, 0.4093, 0.2147)
H (0.5982, 0.2160, 0.7804)
H (0.7147, 0.9093, 0.0946)
H (0.7160, 0.0982, 0.2804)
H (0.7196, 0.2840, 0.9018)
H (0.7804, 0.5982, 0.2160)
H (0.7840, 0.2196, 0.4018)
H (0.7853, 0.4054, 0.5907)
H (0.9018, 0.7196, 0.2840)
H (0.9054, 0.2853, 0.0907)
H (0.9093, 0.0946, 0.7147)